No. 1
Starting from a DFT-relaxed cell (PBE, Alexandria), the XRD peak list of Ba2Mg2Tl2Sn3O10 was computed for CuKα.
Peak positions follow from Bragg's law for the DFT cell and can differ from measured ones.

```
Ba2Mg2Tl2Sn3O10
1.0
3.8642 0.0000 0.0000
0.0954 4.0893 0.0000
0.5530 1.7315 20.2971
Ba Mg Tl Sn O
2 2 2 3 10
direct
0.0000 0.0000 0.0000 Ba
0.1065 0.3416 0.3527 Ba
0.0482 0.0995 0.7681 Mg
0.0823 0.3082 0.5664 Mg
0.2314 0.4424 0.1308 Tl
0.7584 0.9025 0.2172 Tl
0.5382 0.5640 0.8481 Sn
0.5478 0.7936 0.4811 Sn
0.5653 0.7270 0.6753 Sn
0.0346 0.8225 0.5201 O
0.0442 0.5781 0.8074 O
0.0667 0.0377 0.6676 O
0.4379 0.3999 0.2420 O
0.4397 0.2984 0.4784 O
0.5151 0.9582 0.0840 O
0.5268 0.5251 0.9448 O
0.5432 0.0791 0.8138 O
0.5634 0.5050 0.5908 O
0.6138 0.8318 0.3820 O
```

Principal peaks in the range 5 to 70 degrees two-theta, by intensity:
d/Å, I_rel
2.835, 100
3.318, 50
3.053, 50
2.774, 45
3.006, 38
2.045, 31

***

No. 2
Starting from a DFT-relaxed cell (PBE, Alexandria), the XRD peak list of Ba4MgTa10O30 was computed for CuKα.
Peak positions follow from Bragg's law for the DFT cell and can differ from measured ones.

```
Ba4MgTa10O30
1.0
-3.9397 5.1684 7.6616
3.9397 -5.1684 7.6616
3.9397 5.1684 -7.6616
Ba Mg Ta O
4 1 10 30
direct
0.0000 0.0000 0.0000 Ba
0.0090 0.5090 0.5000 Ba
0.4058 0.4058 0.0000 Ba
0.4190 0.9190 0.5000 Ba
0.6839 0.1839 0.5000 Mg
0.0163 0.0832 0.4337 Ta
0.0163 0.5826 0.9331 Ta
0.2104 0.4595 0.2491 Ta
0.2104 0.9613 0.7509 Ta
0.3942 0.3326 0.5648 Ta
0.3942 0.8295 0.0616 Ta
0.6495 0.0832 0.0669 Ta
0.6495 0.5826 0.5663 Ta
0.7679 0.3326 0.9384 Ta
0.7679 0.8295 0.4352 Ta
0.0065 0.8390 0.1675 O
0.0502 0.3558 0.6943 O
0.1757 0.0391 0.6026 O
0.1757 0.5731 0.1366 O
0.1943 0.6943 0.5000 O
0.2164 0.1973 0.4870 O
0.2164 0.7293 0.0190 O
0.2276 0.2276 0.0000 O
0.2483 0.3412 0.3546 O
0.2483 0.8936 0.9071 O
0.3857 0.5878 0.7979 O
0.4365 0.0391 0.8634 O
0.4365 0.5731 0.3974 O
0.4391 0.0806 0.3585 O
0.5450 0.3262 0.7812 O
0.5450 0.7639 0.2188 O
0.5786 0.4269 0.5797 O
0.5786 0.9989 0.1517 O
0.6615 0.3558 0.3057 O
0.6715 0.8390 0.8325 O
0.7103 0.1973 0.9810 O
0.7103 0.7293 0.5130 O
0.7220 0.0806 0.6415 O
0.7898 0.5878 0.2021 O
0.8472 0.4269 0.8483 O
0.8472 0.9989 0.4203 O
0.8813 0.1432 0.2619 O
0.8813 0.6194 0.7381 O
0.9866 0.3412 0.0929 O
0.9866 0.8936 0.6454 O
```

Principal peaks in the range 5 to 70 degrees two-theta, by intensity:
d/Å, I_rel
3.362, 100
3.078, 90
1.723, 85
2.986, 84
3.940, 66
3.133, 51

***

No. 3
Starting from a DFT-relaxed cell (PBE, Alexandria), the XRD peak list of BaMg6TiO8 was computed for CuKα.
Peak positions follow from Bragg's law for the DFT cell and can differ from measured ones.

```
BaMg6TiO8
1.0
4.6466 0.0000 0.0000
0.0000 4.6466 0.0000
0.0000 0.0000 8.9137
Ba Mg Ti O
1 6 1 8
direct
0.0000 0.0000 0.0000 Ba
0.0000 0.0000 0.5000 Mg
0.0000 0.5000 0.2688 Mg
0.0000 0.5000 0.7312 Mg
0.5000 0.0000 0.2688 Mg
0.5000 0.0000 0.7312 Mg
0.5000 0.5000 0.5000 Mg
0.5000 0.5000 0.0000 Ti
0.0000 0.0000 0.2832 O
0.0000 0.0000 0.7168 O
0.0000 0.5000 0.0000 O
0.0000 0.5000 0.5000 O
0.5000 0.0000 0.0000 O
0.5000 0.0000 0.5000 O
0.5000 0.5000 0.2574 O
0.5000 0.5000 0.7426 O
```

Principal peaks in the range 5 to 70 degrees two-theta, by intensity:
d/Å, I_rel
2.323, 100
8.914, 67
2.645, 54
1.608, 51
2.228, 40
3.083, 35

***

No. 4
Starting from a DFT-relaxed cell (PBE, Alexandria), the XRD peak list of Ba4MgTl8O16 was computed for CuKα.
Peak positions follow from Bragg's law for the DFT cell and can differ from measured ones.

```
Ba4MgTl8O16
1.0
11.0326 0.0000 0.0000
0.0000 3.5592 0.0000
-0.8680 0.0000 12.4182
Ba Mg Tl O
4 1 8 16
direct
0.0000 0.0000 0.0000 Ba
0.0026 0.5000 0.4556 Ba
0.4938 0.0000 0.7862 Ba
0.5335 0.5000 0.2614 Ba
0.2423 0.5000 0.5737 Mg
0.1425 0.5000 0.7728 Tl
0.1990 0.5000 0.2413 Tl
0.3324 0.0000 0.0270 Tl
0.4075 0.0000 0.4915 Tl
0.6749 0.5000 0.0165 Tl
0.7110 0.5000 0.5217 Tl
0.8182 0.0000 0.7520 Tl
0.8382 0.0000 0.2312 Tl
0.0588 0.0000 0.2864 O
0.1707 0.0000 0.5505 O
0.1762 0.5000 0.0654 O
0.2444 0.0000 0.8660 O
0.3099 0.5000 0.4078 O
0.3509 0.0000 0.2048 O
0.4137 0.5000 0.6242 O
0.4668 0.5000 0.9698 O
0.5913 0.0000 0.4400 O
0.6471 0.0000 0.1447 O
0.6824 0.5000 0.6986 O
0.7113 0.0000 0.9078 O
0.7917 0.5000 0.3437 O
0.8481 0.0000 0.5651 O
0.8694 0.5000 0.1105 O
0.9376 0.5000 0.8290 O
```

Principal peaks in the range 5 to 70 degrees two-theta, by intensity:
d/Å, I_rel
2.947, 100
3.259, 100
3.105, 94
3.066, 86
2.989, 86
2.195, 55